Na2AcIrO5: computed PXRD pattern (Cu Kα (weighted mean of Kα1 and Kα2)), based on a crystal structure in Alexandria, relaxed with PBE.
Kinematic intensities with the Lorentz-polarization factor, no thermal factor.

The 12 most intense peaks (2θ = 10–90°), low angle first:
| d [Å] | two_theta | Rel. int. |
| --- | --- | --- |
| 5.795 | 15.3 | 100 |
| 3.164 | 28.2 | 36 |
| 2.897 | 30.9 | 19 |
| 2.866 | 31.2 | 20 |
| 2.777 | 32.2 | 86 |
| 2.569 | 34.9 | 26 |
| 2.137 | 42.3 | 29 |
| 2.037 | 44.5 | 25 |
| 1.649 | 55.8 | 17 |
| 1.637 | 56.2 | 18 |
| 1.526 | 60.7 | 11 |
| 1.388 | 67.5 | 14 |

Structure:
```
9
Lattice="-1.8971 2.8656 5.7947 1.8971 -2.8656 5.7947 1.8971 2.8656 -5.7947" Properties=species:S:1:pos:R:3 pbc="T T T"
Na 0.0000 0.0000 2.5255
Na 0.0000 0.0000 9.0639
Ac 0.0000 2.8656 0.0000
Ir 1.8971 0.0000 0.0000
O 0.0000 0.0000 0.0000
O 1.8971 1.4740 -1.3630
O 1.8971 1.4740 1.3630
O 0.0000 1.3916 4.4317
O 0.0000 1.3916 7.1577
```



NaAc2IrO8: computed PXRD pattern (Cu Kα (weighted mean of Kα1 and Kα2)), based on a crystal structure in Alexandria, relaxed with PBE.
Kinematic intensities with the Lorentz-polarization factor, no thermal factor.

The 12 most intense peaks (2θ = 10–90°), low angle first:
| d [Å] | two_theta | Rel. int. |
| --- | --- | --- |
| 7.911 | 11.2 | 27 |
| 3.758 | 23.7 | 50 |
| 3.142 | 28.4 | 100 |
| 2.978 | 30.0 | 41 |
| 2.589 | 34.6 | 13 |
| 2.262 | 39.8 | 17 |
| 2.079 | 43.5 | 28 |
| 1.939 | 46.9 | 16 |
| 1.848 | 49.3 | 20 |
| 1.749 | 52.3 | 26 |
| 1.571 | 58.8 | 12 |
| 1.410 | 66.3 | 12 |

Structure:
```
12
Lattice="4.5993 0.0000 0.0000 0.0000 7.9115 0.0000 -0.9457 0.0000 5.1781" Properties=species:S:1:pos:R:3 pbc="T T T"
Na 0.0000 0.0000 0.0000
Ac 1.8268 1.9960 2.5890
Ac 1.8268 5.9155 2.5890
Ir 0.0000 3.9557 0.0000
O -0.4018 2.5727 3.9721
O -0.4018 5.3388 3.9721
O 1.6476 3.9557 0.9000
O 1.8547 0.0000 1.2917
O 1.7988 0.0000 3.8864
O 2.0060 3.9557 4.2781
O 4.0553 2.5727 1.2060
O 4.0553 5.3388 1.2060
```



AcNd2Ir9: computed PXRD pattern (Cu Kα (weighted mean of Kα1 and Kα2)), based on a crystal structure in Alexandria, relaxed with PBE.
Kinematic intensities with the Lorentz-polarization factor, no thermal factor.

The 12 most intense peaks (2θ = 10–90°), low angle first:
| d [Å] | two_theta | Rel. int. |
| --- | --- | --- |
| 4.635 | 19.1 | 14 |
| 2.952 | 30.3 | 13 |
| 2.715 | 33.0 | 33 |
| 2.344 | 38.4 | 27 |
| 2.316 | 38.9 | 100 |
| 2.211 | 40.8 | 23 |
| 2.151 | 42.0 | 29 |
| 2.146 | 42.1 | 12 |
| 1.999 | 45.4 | 18 |
| 1.479 | 62.8 | 22 |
| 1.359 | 69.1 | 23 |
| 1.158 | 83.5 | 19 |

Structure:
```
12
Lattice="2.7176 1.5690 8.8427 -2.7176 1.5690 8.8427 0.0000 -3.1380 8.8427" Properties=species:S:1:pos:R:3 pbc="T T T"
Ac 0.0000 0.0000 0.0000
Nd 0.0000 0.0000 3.7151
Nd 0.0000 0.0000 22.8131
Ir -1.3434 -0.7756 11.0056
Ir 0.0000 0.0000 8.8020
Ir 0.0000 -1.5512 15.5226
Ir -1.3434 0.7756 15.5226
Ir 0.0000 0.0000 13.2641
Ir 1.3434 -0.7756 11.0056
Ir 0.0000 1.5512 11.0056
Ir 0.0000 0.0000 17.7261
Ir 1.3434 0.7756 15.5226
```



Ac8NdIr6: computed PXRD pattern (Cu Kα (weighted mean of Kα1 and Kα2)), based on a crystal structure in Alexandria, relaxed with PBE.
Kinematic intensities with the Lorentz-polarization factor, no thermal factor.

The 12 most intense peaks (2θ = 10–90°), low angle first:
| d [Å] | two_theta | Rel. int. |
| --- | --- | --- |
| 5.055 | 17.5 | 11 |
| 3.789 | 23.5 | 8 |
| 3.548 | 25.1 | 13 |
| 3.032 | 29.5 | 100 |
| 2.188 | 41.3 | 41 |
| 2.103 | 43.0 | 40 |
| 1.774 | 51.5 | 22 |
| 1.516 | 61.1 | 14 |
| 1.378 | 68.0 | 19 |
| 1.335 | 70.5 | 15 |
| 1.246 | 76.4 | 15 |
| 1.094 | 89.6 | 7 |

Structure:
```
15
Lattice="3.7894 2.1878 10.1109 -3.7894 2.1878 10.1109 0.0000 -4.3757 10.1109" Properties=species:S:1:pos:R:3 pbc="T T T"
Ac -2.5365 -0.0008 11.9378
Ac 0.0000 0.0000 5.0559
Ac -1.2676 -2.1971 18.3948
Ac 1.2689 -2.1963 11.9379
Ac -1.2689 2.1963 18.3948
Ac 1.2676 2.1971 11.9378
Ac 0.0000 0.0000 25.2768
Ac 2.5365 0.0008 18.3948
Nd 0.0000 0.0000 15.1663
Ir -1.2433 -2.1533 13.4032
Ir -2.4864 0.0001 16.9295
Ir -1.2431 2.1533 13.4032
Ir 1.2431 -2.1533 16.9295
Ir 2.4864 -0.0001 13.4032
Ir 1.2433 2.1533 16.9295
```



AcNd2IrO8: computed PXRD pattern (Cu Kα (weighted mean of Kα1 and Kα2)), based on a crystal structure in Alexandria, relaxed with PBE.
Kinematic intensities with the Lorentz-polarization factor, no thermal factor.

The 12 most intense peaks (2θ = 10–90°), low angle first:
| d [Å] | two_theta | Rel. int. |
| --- | --- | --- |
| 3.568 | 25.0 | 96 |
| 3.514 | 25.3 | 82 |
| 3.100 | 28.8 | 62 |
| 2.915 | 30.7 | 100 |
| 2.845 | 31.4 | 40 |
| 2.679 | 33.4 | 27 |
| 2.359 | 38.1 | 27 |
| 2.013 | 45.0 | 42 |
| 1.931 | 47.1 | 22 |
| 1.888 | 48.2 | 15 |
| 1.867 | 48.8 | 16 |
| 1.815 | 50.3 | 17 |

Structure:
```
12
Lattice="4.7200 0.0000 0.0000 -0.0745 5.3694 0.0000 -0.1648 -0.4712 7.2590" Properties=species:S:1:pos:R:3 pbc="T T T"
Ac 0.0000 0.0000 0.0000
Nd 2.0122 2.1141 5.4177
Nd 2.4684 2.7840 1.8413
Ir -0.0824 -0.2356 3.6295
O 0.3124 3.8717 2.1128
O 0.6876 4.0825 4.9736
O 1.4277 0.8775 3.3753
O 1.9316 1.4098 0.0675
O 2.5490 3.4884 7.1915
O 3.0529 4.0207 3.8837
O 3.7930 0.8157 2.2854
O 4.1682 1.0265 5.1462
```



Ac2NdIr3O12: computed PXRD pattern (Cu Kα (weighted mean of Kα1 and Kα2)), based on a crystal structure in Alexandria, relaxed with PBE.
Kinematic intensities with the Lorentz-polarization factor, no thermal factor.

The 12 most intense peaks (2θ = 10–90°), low angle first:
| d [Å] | two_theta | Rel. int. |
| --- | --- | --- |
| 3.614 | 24.6 | 27 |
| 3.405 | 26.2 | 43 |
| 3.074 | 29.1 | 95 |
| 3.006 | 29.7 | 100 |
| 2.921 | 30.6 | 66 |
| 2.882 | 31.0 | 54 |
| 1.947 | 46.7 | 30 |
| 1.912 | 47.6 | 39 |
| 1.807 | 50.5 | 54 |
| 1.703 | 53.8 | 34 |
| 1.531 | 60.5 | 21 |
| 1.441 | 64.7 | 18 |

Structure:
```
18
Lattice="3.6144 2.0868 5.4111 -3.6144 2.0868 5.4111 0.0000 -4.1736 5.4111" Properties=species:S:1:pos:R:3 pbc="T T T"
Ac 0.0000 0.0000 1.8704
Ac 0.0000 0.0000 14.3630
Nd 0.0000 0.0000 8.1167
Ir -1.8072 -1.0434 5.4111
Ir -1.8072 1.0434 10.8222
Ir 0.0000 2.0868 5.4111
O -2.1251 -1.2269 7.3103
O 0.0000 -1.7225 5.9192
O -1.4917 0.8612 5.9192
O 0.0000 -2.4538 8.9231
O -2.1251 1.2269 8.9231
O -1.4917 -0.8612 10.3141
O 1.4917 0.8612 5.9192
O 2.1251 -1.2269 7.3103
O 0.0000 2.4538 7.3103
O 1.4917 -0.8612 10.3141
O 0.0000 1.7225 10.3141
O 2.1251 1.2269 8.9231
```



Ac2NdIrPt: computed PXRD pattern (Cu Kα (weighted mean of Kα1 and Kα2)), based on a crystal structure in Alexandria, relaxed with PBE.
Kinematic intensities with the Lorentz-polarization factor, no thermal factor.

The 12 most intense peaks (2θ = 10–90°), low angle first:
| d [Å] | two_theta | Rel. int. |
| --- | --- | --- |
| 3.336 | 26.7 | 39 |
| 3.130 | 28.5 | 100 |
| 3.066 | 29.1 | 39 |
| 3.045 | 29.3 | 54 |
| 2.895 | 30.9 | 27 |
| 2.664 | 33.6 | 31 |
| 2.418 | 37.2 | 60 |
| 2.214 | 40.8 | 80 |
| 2.202 | 41.0 | 22 |
| 2.183 | 41.4 | 32 |
| 1.791 | 51.0 | 48 |
| 1.565 | 59.0 | 27 |

Structure:
```
10
Lattice="4.4271 0.0000 0.0000 0.0000 4.4271 0.0000 0.0000 0.0000 15.2261" Properties=species:S:1:pos:R:3 pbc="T T T"
Ac 1.1068 1.1068 1.5084
Ac 1.1068 1.1068 10.8440
Ac 3.3204 3.3204 4.3821
Ac 3.3204 3.3204 13.7177
Nd 1.1068 3.3204 7.6130
Nd 3.3204 1.1068 7.6130
Ir 1.1068 1.1068 13.6394
Ir 3.3204 3.3204 1.5867
Pt 1.1068 1.1068 5.3958
Pt 3.3204 3.3204 9.8303
```



Ac2NiIr2: computed PXRD pattern (Cu Kα (weighted mean of Kα1 and Kα2)), based on a crystal structure in Alexandria, relaxed with PBE.
Kinematic intensities with the Lorentz-polarization factor, no thermal factor.

The 12 most intense peaks (2θ = 10–90°), low angle first:
| d [Å] | two_theta | Rel. int. |
| --- | --- | --- |
| 3.486 | 25.6 | 66 |
| 2.764 | 32.4 | 64 |
| 2.685 | 33.4 | 47 |
| 2.483 | 36.2 | 82 |
| 2.452 | 36.6 | 68 |
| 2.339 | 38.5 | 100 |
| 2.175 | 41.5 | 45 |
| 1.690 | 54.3 | 24 |
| 1.652 | 55.6 | 23 |
| 1.627 | 56.6 | 40 |
| 1.452 | 64.1 | 50 |
| 1.257 | 75.7 | 19 |

Structure:
```
10
Lattice="4.3491 0.0000 0.0000 0.0000 5.8295 0.0000 0.0000 0.0000 9.0732" Properties=species:S:1:pos:R:3 pbc="T T T"
Ac 0.0000 0.0000 1.7625
Ac 0.0000 0.0000 7.3106
Ac 2.1745 2.9147 2.7741
Ac 2.1745 2.9147 6.2991
Ni 0.0000 2.9147 0.0000
Ni 2.1745 0.0000 4.5366
Ir 0.0000 1.3930 4.5366
Ir 0.0000 4.4365 4.5366
Ir 2.1745 1.5218 0.0000
Ir 2.1745 4.3077 0.0000
```